1.
Simulated PXRD pattern of Ba6Na23Li for Cu Kα (weighted mean of Kα1 and Kα2), from a cell relaxed with PBE.
Kinematic intensities with the Lorentz-polarization factor, no thermal factor.

Atomic structure:
Cell: 17.160 17.160 17.160 Å, 90.00 90.00 90.00°
Space group Fm-3m (No. 225)
Symmetry-distinct sites (fractional):
Ba1 0.000 0.000 0.204 x24
Na1 0.000 0.000 0.500 x4
Na2 0.000 0.250 0.250 x24
Na3 0.118 0.118 0.382 x32
Na4 0.171 0.171 0.171 x32
Li1 0.000 0.000 0.000 x4

Most intense lines, 5° ≤ 2θ ≤ 70°, sorted by position:
2θ (°)	Rel. int.	(hkl)
17.91	51	2 2 2
20.70	30	4 0 0
22.59	32	3 3 1
25.43	37	4 2 2
27.00	100	3 3 3
29.44	68	4 4 0
44.82	32	8 2 2
55.38	29	7 7 3



2.
Simulated PXRD pattern of BaNaLi5 for Cu Kα (weighted mean of Kα1 and Kα2), from a cell relaxed with PBE.
Kinematic intensities with the Lorentz-polarization factor, no thermal factor.

Atomic structure:
Cell: 10.326 6.209 12.798 Å, 90.00 90.00 90.00°
Space group Pnma (No. 62)
Symmetry-distinct sites (fractional):
Ba1 0.246 0.250 0.064 x4
Na1 0.139 0.750 0.864 x4
Li1 0.052 0.750 0.109 x4
Li2 0.066 0.505 0.314 x8
Li3 0.083 0.250 0.516 x4
Li4 0.187 0.250 0.742 x4

Most intense lines, 5° ≤ 2θ ≤ 70°, sorted by position:
2θ (°)	Rel. int.	(hkl)
13.84	27	0 0 2
16.30	33	1 0 2
17.17	40	2 0 0
18.05	100	1 1 1
25.33	38	0 1 3
29.22	29	1 0 4
30.51	48	3 1 1
30.77	44	2 1 3



3.
Simulated PXRD pattern of BaNa4Li for Cu Kα (weighted mean of Kα1 and Kα2), from a cell relaxed with PBE.
Kinematic intensities with the Lorentz-polarization factor, no thermal factor.

Atomic structure:
Cell: 18.808 8.258 6.506 Å, 90.00 110.12 90.00°
Space group C2/m (No. 12)
Symmetry-distinct sites (fractional):
Ba1 0.216 0.000 0.214 x4
Na1 0.000 0.192 0.000 x4
Na2 0.105 0.210 0.604 x8
Na3 0.160 0.500 0.163 x4
Li1 0.001 0.500 0.728 x4

Most intense lines, 5° ≤ 2θ ≤ 70°, sorted by position:
2θ (°)	Rel. int.	(hkl)
10.02	78	2 0 0
17.35	67	1 1 -1
20.08	100	3 1 -1
23.79	71	2 2 0
26.68	66	5 1 -1
27.43	73	2 0 -2
28.76	71	4 0 1
29.78	65	2 2 1



4.
Simulated PXRD pattern of BaNa2LiZn for Cu Kα (weighted mean of Kα1 and Kα2), from a cell relaxed with PBE.
Kinematic intensities with the Lorentz-polarization factor, no thermal factor.

Atomic structure:
Cell: 5.733 5.733 5.386 Å, 90.00 90.00 90.00°
Space group P4/mmm (No. 123)
Symmetry-distinct sites (fractional):
Ba1 0.000 0.000 0.000 x1
Na1 0.000 0.500 0.500 x2
Li1 0.500 0.500 0.000 x1
Zn1 0.500 0.500 0.500 x1

Most intense lines, 5° ≤ 2θ ≤ 70°, sorted by position:
2θ (°)	Rel. int.	(hkl)
21.93	35	1 1 0
22.65	100	1 0 1
27.54	21	1 1 1
31.21	38	2 0 0
33.27	16	0 0 2
38.91	49	2 1 1
40.20	14	1 1 2
46.26	25	2 0 2



5.
Simulated PXRD pattern of BaLi3Nb4O12 for Cu Kα (weighted mean of Kα1 and Kα2), from a cell relaxed with PBE.
Kinematic intensities with the Lorentz-polarization factor, no thermal factor.

Atomic structure:
Cell: 7.827 7.827 7.827 Å, 90.00 90.00 90.00°
Space group Im-3 (No. 204)
Symmetry-distinct sites (fractional):
Ba1 0.000 0.000 0.000 x2
Li1 0.000 0.000 0.500 x6
Nb1 0.250 0.250 0.250 x8
O1 0.000 0.296 0.195 x24

Most intense lines, 5° ≤ 2θ ≤ 70°, sorted by position:
2θ (°)	Rel. int.	(hkl)
16.01	38	1 1 0
22.72	46	2 0 0
27.92	18	2 1 1
32.35	100	2 2 0
43.25	20	3 1 2
46.40	33	4 0 0
52.27	18	4 2 0
57.70	50	4 2 2